Diffraction record for YEr2Cu9. The powder diffractogram is simulated, not measured: it uses a structure optimized by DFT (GGA-PBE) and Cu Kα (λ = 1.5418 Å).
Kinematic intensities with the Lorentz-polarization factor, no thermal factor.

Main lines, in order of rising 2θ (2θ = 10–90°):
index	Position (°2θ)	intensity
1 0 5	33.7	66
1 1 0	34.9	51
2 0 1	40.9	32
1 1 4	41.3	100
1 0 7	43.2	28
2 0 3	43.8	40
2 1 5	61.8	22
2 0 9	65.7	17
3 0 4	66.9	22
2 2 0	73.7	24

a b c (Å): 5.1438 5.1438 16.5944
angles (deg): 90.00 90.00 120.00
Space group P6_3/mmc (No. 194)
Symmetry-distinct sites (fractional):
Y 0.3333 0.6667 0.2500 [2 per cell]
Er 0.3333 0.6667 0.0395 [4 per cell]
Cu 0.0000 0.0000 0.0000 [2 per cell]
Cu 0.0000 0.0000 0.2500 [2 per cell]
Cu 0.1673 0.3347 0.6262 [12 per cell]
Cu 0.3333 0.6667 0.7500 [2 per cell]



Diffraction record for YEr2Cu6. The powder diffractogram is simulated, not measured: it uses a structure optimized by DFT (GGA-PBE) and Cu Kα (λ = 1.5418 Å).
Kinematic intensities with the Lorentz-polarization factor, no thermal factor.

Main lines, in order of rising 2θ (2θ = 10–90°):
index	Position (°2θ)	intensity
1 0 0	14.0	6
1 1 0	24.3	15
1 1 1	35.3	100
3 0 0	42.8	51
0 0 2	51.7	10
2 2 1	56.7	25
3 0 2	69.4	23
4 1 1	73.6	22
3 3 0	78.5	8
1 1 3	86.9	8

a b c (Å): 7.3111 7.3111 3.5338
angles (deg): 90.00 90.00 120.00
Space group P6/mmm (No. 191)
Symmetry-distinct sites (fractional):
Y 0.0000 0.0000 0.0000 [1 per cell]
Er 0.3333 0.6667 0.0000 [2 per cell]
Cu 0.0000 0.3343 0.5000 [6 per cell]



Diffraction record for YErCu3. The powder diffractogram is simulated, not measured: it uses a structure optimized by DFT (GGA-PBE) and Cu Kα (λ = 1.5418 Å).
Kinematic intensities with the Lorentz-polarization factor, no thermal factor.

Main lines, in order of rising 2θ (2θ = 10–90°):
index	Position (°2θ)	intensity
0 4 1	25.1	21
1 1 1	32.6	21
1 3 1	34.2	100
1 7 0	35.1	61
0 10 1	41.4	40
0 0 2	42.2	36
1 9 1	46.0	18
2 0 0	50.6	21
1 7 2	56.0	31
2 0 2	68.0	20

a b c (Å): 3.608 25.353 4.283
angles (deg): 90.00 90.00 90.00
Space group Cmcm (No. 63)
Symmetry-distinct sites (fractional):
Y 0.000 0.072 0.250 [4 per cell]
Er 0.000 0.204 0.750 [4 per cell]
Cu 0.000 0.327 0.750 [4 per cell]
Cu 0.000 0.381 0.250 [4 per cell]
Cu 0.000 0.477 0.250 [4 per cell]



Diffraction record for ErZn2Cu5. The powder diffractogram is simulated, not measured: it uses a structure optimized by DFT (GGA-PBE) and Cu Kα (λ = 1.5418 Å).
Kinematic intensities with the Lorentz-polarization factor, no thermal factor.

Main lines, in order of rising 2θ (2θ = 10–90°):
index	Position (°2θ)	intensity
0 1 3	29.8	18
1 1 2	33.2	56
1 0 3	36.5	72
1 2 1	37.5	100
0 3 1	41.2	20
0 2 4	45.1	70
2 0 0	50.3	32
1 0 5	52.1	24
0 4 4	66.9	17
2 2 4	69.8	35

a b c (Å): 3.631 6.741 10.032
angles (deg): 90.00 90.00 90.00
Space group Immm (No. 71)
Symmetry-distinct sites (fractional):
Er 0.000 0.000 0.000 [2 per cell]
Zn 0.000 0.500 0.251 [4 per cell]
Cu 0.000 0.190 0.374 [8 per cell]
Cu 0.000 0.500 0.000 [2 per cell]



Diffraction record for Er2Zn16Cu. The powder diffractogram is simulated, not measured: it uses a structure optimized by DFT (GGA-PBE) and Cu Kα (λ = 1.5418 Å).
Kinematic intensities with the Lorentz-polarization factor, no thermal factor.

Main lines, in order of rising 2θ (2θ = 10–90°):
index	Position (°2θ)	intensity
1 1 3	28.6	30
3 0 0	34.8	39
0 2 4	35.9	25
2 2 0	40.5	60
0 3 3	40.7	100
0 0 6	41.3	32
2 0 5	41.6	23
2 2 3	45.7	25
2 2 6	59.2	22
6 0 0	73.6	23

a b c (Å): 8.9181 8.9181 13.1154
angles (deg): 90.00 90.00 120.00
Space group R3m (No. 160, hexagonal axes)
Symmetry-distinct sites (fractional):
Er 0.0000 0.0000 0.0000 [3 per cell]
Er 0.0000 0.0000 0.3319 [3 per cell]
Zn 0.0000 0.0000 0.7639 [3 per cell]
Zn 0.0000 0.2951 0.6642 [18 per cell]
Zn 0.0055 0.5027 0.1645 [9 per cell]
Zn 0.0066 0.5033 0.8161 [9 per cell]
Zn 0.1723 0.3447 0.8470 [9 per cell]
Cu 0.0000 0.0000 0.5646 [3 per cell]



Diffraction record for Er3Zn2Cu. The powder diffractogram is simulated, not measured: it uses a structure optimized by DFT (GGA-PBE) and Cu Kα (λ = 1.5418 Å).
Kinematic intensities with the Lorentz-polarization factor, no thermal factor.

Main lines, in order of rising 2θ (2θ = 10–90°):
index	Position (°2θ)	intensity
1 0 0	25.4	20
1 1 0	36.3	100
1 1 3	44.8	6
2 0 0	52.2	17
2 1 0	59.0	8
2 1 3	65.3	35
2 2 0	77.0	11
2 2 3	82.7	4
3 0 3	88.2	10
3 1 0	88.3	5

a b c (Å): 3.500 3.500 10.512
angles (deg): 90.00 90.00 90.00
Space group P4/mmm (No. 123)
Symmetry-distinct sites (fractional):
Er 0.000 0.000 0.000 [1 per cell]
Er 0.000 0.000 0.339 [2 per cell]
Zn 0.500 0.500 0.167 [2 per cell]
Cu 0.500 0.500 0.500 [1 per cell]



Diffraction record for Er2ZnCu3. The powder diffractogram is simulated, not measured: it uses a structure optimized by DFT (GGA-PBE) and Cu Kα (λ = 1.5418 Å).
Kinematic intensities with the Lorentz-polarization factor, no thermal factor.

Main lines, in order of rising 2θ (2θ = 10–90°):
index	Position (°2θ)	intensity
0 2 2	23.8	23
2 2 2	35.4	100
2 0 4	35.6	50
0 4 0	41.7	27
0 2 6	42.2	52
4 0 0	53.1	13
2 4 4	56.0	27
2 0 8	56.5	13
4 2 6	70.1	22
2 6 2	72.0	12

a b c (Å): 6.900 8.665 14.770
angles (deg): 90.00 90.00 90.00
Space group Fmmm (No. 69)
Symmetry-distinct sites (fractional):
Er 0.246 0.000 0.000 [8 per cell]
Er 0.250 0.250 0.250 [8 per cell]
Zn 0.000 0.000 0.333 [8 per cell]
Cu 0.000 0.000 0.165 [8 per cell]
Cu 0.000 0.250 0.084 [16 per cell]



Diffraction record for ErZn12Cu7. The powder diffractogram is simulated, not measured: it uses a structure optimized by DFT (GGA-PBE) and Cu Kα (λ = 1.5418 Å).
Kinematic intensities with the Lorentz-polarization factor, no thermal factor.

Main lines, in order of rising 2θ (2θ = 10–90°):
index	Position (°2θ)	intensity
2 1 1	24.5	58
2 2 0	28.4	44
3 0 1	31.8	44
2 2 2	34.9	19
3 1 2	37.8	33
4 0 0	40.6	63
4 0 2	45.6	45
4 2 2	50.2	100
5 3 0	60.7	17
6 4 2	80.8	52

a b c (Å): 8.897 8.897 8.897
angles (deg): 90.00 90.00 90.00
Space group Im-3 (No. 204)
Symmetry-distinct sites (fractional):
Er 0.000 0.000 0.000 [2 per cell]
Zn 0.000 0.347 0.242 [24 per cell]
Cu 0.000 0.000 0.500 [6 per cell]
Cu 0.250 0.250 0.250 [8 per cell]



Diffraction record for Er2ZnCu7. The powder diffractogram is simulated, not measured: it uses a structure optimized by DFT (GGA-PBE) and Cu Kα (λ = 1.5418 Å).
Kinematic intensities with the Lorentz-polarization factor, no thermal factor.

Main lines, in order of rising 2θ (2θ = 10–90°):
index	Position (°2θ)	intensity
0 0 4	31.6	11
1 0 3	33.7	75
1 1 2	37.4	100
1 0 5	46.9	45
2 0 0	48.4	41
2 1 3	60.2	32
2 1 5	69.6	24
2 2 0	70.8	13
3 1 2	82.9	23
2 0 8	86.0	11

a b c (Å): 3.763 3.763 11.310
angles (deg): 90.00 90.00 90.00
Space group P-4m2 (No. 115)
Symmetry-distinct sites (fractional):
Er 0.000 0.500 0.243 [2 per cell]
Zn 0.000 0.000 0.500 [1 per cell]
Cu 0.000 0.000 0.000 [1 per cell]
Cu 0.000 0.500 0.647 [2 per cell]
Cu 0.000 0.500 0.861 [2 per cell]
Cu 0.500 0.500 0.000 [1 per cell]
Cu 0.500 0.500 0.500 [1 per cell]



Diffraction record for Er2ZnCu2. The powder diffractogram is simulated, not measured: it uses a structure optimized by DFT (GGA-PBE) and Cu Kα (λ = 1.5418 Å).
Kinematic intensities with the Lorentz-polarization factor, no thermal factor.

Main lines, in order of rising 2θ (2θ = 10–90°):
index	Position (°2θ)	intensity
1 1 1	26.9	25
3 1 -1	33.5	54
1 1 2	33.7	74
3 1 -2	33.8	60
1 1 -3	34.3	100
4 0 -2	34.6	48
3 1 -3	37.2	54
0 0 4	41.0	35
3 1 1	41.5	70
0 2 0	42.0	70

a b c (Å): 10.379 4.303 10.028
angles (deg): 90.00 118.57 90.00
Space group C2/m (No. 12)
Symmetry-distinct sites (fractional):
Er 0.013 0.000 0.335 [4 per cell]
Er 0.195 0.000 0.112 [4 per cell]
Zn 0.226 0.500 0.351 [4 per cell]
Cu 0.021 0.500 0.888 [4 per cell]
Cu 0.136 0.500 0.565 [4 per cell]



Diffraction record for Er4ZnCu3. The powder diffractogram is simulated, not measured: it uses a structure optimized by DFT (GGA-PBE) and Cu Kα (λ = 1.5418 Å).
Kinematic intensities with the Lorentz-polarization factor, no thermal factor.

Main lines, in order of rising 2θ (2θ = 10–90°):
index	Position (°2θ)	intensity
0 1 2	26.2	38
1 1 1	32.6	100
0 0 4	34.6	23
1 0 3	35.6	40
0 2 0	40.1	51
1 1 3	41.1	42
2 0 0	49.6	17
1 2 3	54.8	24
2 2 0	65.6	23
1 2 7	82.2	14

a b c (Å): 3.678 4.492 10.375
angles (deg): 90.00 90.00 90.00
Space group Pmm2 (No. 25)
Symmetry-distinct sites (fractional):
Er 0.000 0.000 0.000 [1 per cell]
Er 0.000 0.500 0.275 [1 per cell]
Er 0.500 0.000 0.486 [1 per cell]
Er 0.500 0.500 0.780 [1 per cell]
Zn 0.000 0.000 0.709 [1 per cell]
Cu 0.000 0.500 0.562 [1 per cell]
Cu 0.500 0.000 0.208 [1 per cell]
Cu 0.500 0.500 0.065 [1 per cell]



Diffraction record for ErZn10Cu2. The powder diffractogram is simulated, not measured: it uses a structure optimized by DFT (GGA-PBE) and Cu Kα (λ = 1.5418 Å).
Kinematic intensities with the Lorentz-polarization factor, no thermal factor.

Main lines, in order of rising 2θ (2θ = 10–90°):
index	Position (°2θ)	intensity
-1 1 1	35.0	13
2 1 1	35.3	43
1 2 2	35.4	12
2 0 0	40.7	41
0 2 -2	40.9	100
2 0 2	41.0	67
2 2 2	41.1	17
0 3 1	46.1	11
2 1 3	46.2	18
4 2 2	74.6	17

a b c (Å): 5.089 6.716 6.730
angles (deg): 82.01 68.36 68.06
Space group P-1 (No. 2)
Symmetry-distinct sites (fractional):
Er 0.000 0.000 0.000 [1 per cell]
Zn 0.000 0.000 0.500 [1 per cell]
Zn 0.009 0.642 0.343 [2 per cell]
Zn 0.284 0.220 0.212 [2 per cell]
Zn 0.349 0.643 0.657 [2 per cell]
Zn 0.496 0.221 0.787 [2 per cell]
Zn 0.500 0.000 0.500 [1 per cell]
Cu 0.000 0.500 0.000 [1 per cell]
Cu 0.500 0.500 0.000 [1 per cell]



Diffraction record for Er2ZnCu3. The powder diffractogram is simulated, not measured: it uses a structure optimized by DFT (GGA-PBE) and Cu Kα (λ = 1.5418 Å).
Kinematic intensities with the Lorentz-polarization factor, no thermal factor.

Main lines, in order of rising 2θ (2θ = 10–90°):
index	Position (°2θ)	intensity
1 1 0	23.9	42
1 1 1	34.2	37
3 1 -1	35.0	39
0 0 2	35.2	36
1 1 -2	35.5	100
3 1 -2	36.2	85
4 0 -2	36.7	36
0 2 0	41.9	60
3 1 0	42.3	89
7 1 -3	70.6	23

a b c (Å): 9.824 4.309 6.781
angles (deg): 90.00 131.23 90.00
Space group Cm (No. 8)
Symmetry-distinct sites (fractional):
Er 0.000 0.000 0.000 [2 per cell]
Er 0.094 0.000 0.595 [2 per cell]
Zn 0.214 0.500 0.406 [2 per cell]
Cu 0.209 0.500 0.006 [2 per cell]
Cu 0.379 0.000 0.182 [2 per cell]
Cu 0.385 0.000 0.585 [2 per cell]